No. 1
Na2MgV4O10: theoretical PXRD pattern (λ = 1.5418 Å (Cu Kα)), based on a DFT-relaxed cell (GGA+U, the Materials Project).
Intensities are scaled so that the largest is 100.

Principal peaks in the range 2θ = 15–90°, low angle first:
Position (°2θ)	I_rel
15.48	100
17.32	13
21.97	12
24.59	26
25.81	16
28.13	28
31.27	10
34.15	35
35.07	10
46.25	8
47.69	32
50.45	16

Cell and atoms:
```
17
Lattice="11.4329 0.0000 0.0000 0.0000 1.9080 5.7254 0.0000 -1.9080 5.7254" Properties=species:S:1:pos:R:3 pbc="T T T"
Na 0.0000 0.0000 0.0000
Na 5.7164 0.0000 2.2685
Mg 5.7164 0.0000 5.1665
V 1.6981 0.0000 3.4216
V 3.8390 0.0000 10.1731
V 7.5939 0.0000 10.1731
V 9.7348 0.0000 3.4216
O 0.0000 0.0000 4.2816
O 1.5798 0.0000 1.7790
O 2.0144 0.0000 9.7222
O 3.7891 0.0000 4.0179
O 4.4172 0.0000 0.3393
O 5.7164 0.0000 9.4437
O 7.0156 0.0000 0.3393
O 7.6437 0.0000 4.0179
O 9.4185 0.0000 9.7222
O 9.8530 0.0000 1.7790
```


No. 2
NaMg14WO16: theoretical PXRD pattern (λ = 1.5418 Å (Cu Kα)), based on a DFT-relaxed cell (GGA+U, the Materials Project).
Intensities are scaled so that the largest is 100.

Principal peaks in the range 2θ = 15–90°, low angle first:
Position (°2θ)	I_rel
20.61	22
23.08	48
25.31	17
29.31	19
31.13	33
36.11	28
41.93	100
43.29	13
48.40	14
60.80	58
72.80	15
76.60	18

Cell and atoms:
```
32
Lattice="8.6147 0.0000 0.0000 0.0000 8.6147 0.0000 0.0000 0.0000 4.3120" Properties=species:S:1:pos:R:3 pbc="T T T"
Na 0.0000 0.0000 0.0000
Mg 0.0000 2.1079 2.1560
Mg 0.0000 4.3073 0.0000
Mg 0.0000 6.5068 2.1560
Mg 2.0631 4.3073 2.1560
Mg 2.0862 2.0862 0.0000
Mg 2.0862 6.5285 0.0000
Mg 2.1079 0.0000 2.1560
Mg 4.3073 0.0000 0.0000
Mg 4.3073 2.0631 2.1560
Mg 4.3073 6.5516 2.1560
Mg 6.5068 0.0000 2.1560
Mg 6.5285 2.0862 0.0000
Mg 6.5285 6.5285 0.0000
Mg 6.5516 4.3073 2.1560
W 4.3073 4.3073 0.0000
O 0.0000 0.0000 2.1560
O 0.0000 2.2827 0.0000
O 0.0000 4.3073 2.1560
O 0.0000 6.3320 0.0000
O 2.1423 4.3073 0.0000
O 2.1739 2.1739 2.1560
O 2.1739 6.4408 2.1560
O 2.2827 0.0000 0.0000
O 4.3073 0.0000 2.1560
O 4.3073 2.1423 0.0000
O 4.3073 4.3073 2.1560
O 4.3073 6.4723 0.0000
O 6.3320 0.0000 0.0000
O 6.4408 2.1739 2.1560
O 6.4408 6.4408 2.1560
O 6.4723 4.3073 0.0000
```


No. 3
NaMg14WO16: theoretical PXRD pattern (λ = 1.5418 Å (Cu Kα)), based on a DFT-relaxed cell (GGA+U, the Materials Project).
Intensities are scaled so that the largest is 100.

Principal peaks in the range 2θ = 15–90°, low angle first:
Position (°2θ)	I_rel
23.01	67
23.09	66
25.29	62
31.10	70
36.06	82
41.67	100
41.91	100
42.05	98
60.58	58
60.69	57
60.88	58
76.49	53

Cell and atoms:
```
32
Lattice="4.3110 0.0000 0.0000 0.0000 8.5943 0.0000 0.0000 0.0000 8.6695" Properties=species:S:1:pos:R:3 pbc="T T T"
Na 0.0000 0.0000 0.0000
Mg 0.0000 2.1690 2.0935
Mg 0.0000 2.1690 6.5760
Mg 0.0000 4.2971 0.0000
Mg 0.0000 4.2971 4.3347
Mg 0.0000 6.4253 2.0935
Mg 0.0000 6.4253 6.5760
Mg 2.1555 0.0000 2.0416
Mg 2.1555 0.0000 6.6279
Mg 2.1555 2.1292 0.0000
Mg 2.1555 2.2114 4.3347
Mg 2.1555 4.2971 2.1435
Mg 2.1555 4.2971 6.5260
Mg 2.1555 6.3828 4.3347
Mg 2.1555 6.4651 0.0000
W 0.0000 0.0000 4.3347
O 0.0000 0.0000 2.2122
O 0.0000 0.0000 6.4573
O 0.0000 2.1852 4.3347
O 0.0000 2.2800 0.0000
O 0.0000 4.2971 2.2065
O 0.0000 4.2971 6.4630
O 0.0000 6.3143 0.0000
O 0.0000 6.4091 4.3347
O 2.1555 0.0000 0.0000
O 2.1555 0.0000 4.3347
O 2.1555 2.1400 2.1880
O 2.1555 2.1400 6.4814
O 2.1555 4.2971 0.0000
O 2.1555 4.2971 4.3347
O 2.1555 6.4542 2.1880
O 2.1555 6.4542 6.4814
```